Calculated powder XRD pattern of LiMn2P2O8 for Cu Kα, 1.54184 Å, from the GGA+U geometry in the Materials Project.
No peak broadening, texture or thermal motion is included.

Cell and atoms:
```
data_LiMn2P2O8
_chemical_formula_sum 'Li2 Mn4 P4 O16'
_cell_length_a 5.094
_cell_length_b 9.864
_cell_length_c 7.084
_cell_angle_alpha 90.00
_cell_angle_beta 90.47
_cell_angle_gamma 90.00
_space_group_name_H-M_alt 'P 1 21 1'
_space_group_IT_number 4
loop_
_space_group_symop_operation_xyz
'x,y,z'
'-x,y+1/2,-z'
loop_
_atom_site_label
_atom_site_type_symbol
_atom_site_fract_x
_atom_site_fract_y
_atom_site_fract_z
_atom_site_occupancy
Li1 Li 0.044 0.000 0.243 1
Mn1 Mn 0.063 0.011 0.744 1
Mn2 Mn 0.473 0.720 0.711 1
P1 P 0.057 0.257 0.017 1
P2 P 0.435 0.428 0.518 1
O1 O 0.014 0.412 0.007 1
O2 O 0.033 0.697 0.171 1
O3 O 0.085 0.697 0.806 1
O4 O 0.145 0.470 0.509 1
O5 O 0.356 0.220 0.045 1
O6 O 0.414 0.026 0.348 1
O7 O 0.445 0.930 0.690 1
O8 O 0.478 0.275 0.562 1
```

Most intense lines, 15 to 90 degrees two-theta, in order of falling intensity:
Position (°2θ), I (rel.)
15.40, 100.0
21.57, 94.1
23.25, 82.6
21.96, 57.6
35.24, 54.7
36.44, 46.6
21.40, 31.1
23.40, 29.1
29.96, 28.8
31.09, 23.9